This entry pairs a crystal structure of Li2CuCO4 with its calculated XRD peak list. Radiation: Cu Kα, 1.54184 Å. Structure: a DFT-relaxed cell (PBE, the Materials Project).
Peak positions follow from Bragg's law for the DFT cell and can differ from measured ones.

Lattice parameters (Å, degrees): 6.901 5.052 10.713 90.00 98.79 90.00
Space group P2_1/c (No. 14)
One atom of each set of equivalent atoms:
Li1 0.116 0.161 0.291 (multiplicity 4)
Li2 0.224 0.176 0.568 (multiplicity 4)
Cu1 0.463 0.662 0.678 (multiplicity 4)
C1 0.184 0.674 0.439 (multiplicity 4)
O1 0.060 0.692 0.860 (multiplicity 4)
O2 0.205 0.076 0.927 (multiplicity 4)
O3 0.286 0.694 0.032 (multiplicity 4)
O4 0.354 0.155 0.216 (multiplicity 4)

Main lines, in order of falling intensity (2θ from 5° to 70°):
hkl  two_theta  d (Å)  Rel. int.
2 0 -2  28.90  3.090  100
1 0 0  12.98  6.820  78
1 1 -2  26.42  3.373  71
1 1 3  35.18  2.551  35
1 0 -2  19.59  4.531  30
1 0 2  22.78  3.903  22
3 1 -4  52.11  1.755  19
0 1 1  19.47  4.560  16